# Cu3Mo2O10
Simulated X-ray diffraction stick pattern, Cu Ka. Input: a PBE+U-relaxed structure.

Lattice parameters (Å, degrees): 5.5623 13.8580 7.7533 90.00 132.42 90.00
Space group P2_1/c (No. 14)
Inequivalent atoms, fractional coordinates:
1 Cu 0.0000 0.0000 0.0000
2 Cu 0.3403 0.0715 0.5368
3 Mo 0.4752 0.6525 0.4307
4 O 0.0915 0.6146 0.1515
5 O 0.1895 0.1206 0.0517
6 O 0.2524 0.5173 0.8170
7 O 0.4717 0.0934 0.8375
8 O 0.4828 0.7223 0.9609

Top 8 peaks for 2θ from 10° to 90°, in order of rising 2θ:
(0 2 0), d = 6.929 Å, rel. 36
(1 0 0), d = 4.107 Å, rel. 47
(1 1 -2), d = 3.732 Å, rel. 55
(1 3 -1), d = 3.551 Å, rel. 100
(1 3 -2), d = 2.967 Å, rel. 32
(0 0 2), d = 2.862 Å, rel. 38
(2 1 -1), d = 2.515 Å, rel. 31
(0 7 1), d = 1.871 Å, rel. 29